1.
For DyEr6, a structure optimized by DFT (PBE) gives the simulated PXRD pattern in this record (Cu Kα X-rays).
Intensities are scaled so that the largest is 1000.

Most intense lines, 15° ≤ 2θ ≤ 90°, in order of rising 2θ:
2θ = 28.99°, I = 1000
2θ = 31.63°, I = 787
2θ = 32.23°, I = 607
2θ = 33.03°, I = 303
2θ = 35.35°, I = 801
2θ = 39.68°, I = 276
2θ = 56.61°, I = 526
2θ = 67.02°, I = 454

Atomic structure:
Lattice parameters (Å, degrees): 6.4241 6.4241 10.8479 90.00 90.00 90.00
Fractional positions:
Dy1 0.2500 0.7500 0.0000
Dy2 0.7500 0.2500 0.0000
Er1 0.0815 0.5815 0.3625
Er2 0.0815 0.9185 0.6375
Er3 0.2500 0.2500 0.1409
Er4 0.2500 0.2500 0.8591
Er5 0.4185 0.5815 0.6375
Er6 0.4185 0.9185 0.3625
Er7 0.5815 0.0815 0.6375
Er8 0.5815 0.4185 0.3625
Er9 0.7500 0.7500 0.1409
Er10 0.7500 0.7500 0.8591
Er11 0.9185 0.0815 0.3625
Er12 0.9185 0.4185 0.6375

***

2.
For Dy3Er2, a structure optimized by DFT (PBE) gives the simulated PXRD pattern in this record (Cu Kα X-rays).
Intensities are scaled so that the largest is 1000.

Most intense lines, 15° ≤ 2θ ≤ 90°, in order of rising 2θ:
2θ = 29.29°, I = 274
2θ = 30.33°, I = 708
2θ = 31.47°, I = 1000
2θ = 31.62°, I = 647
2θ = 32.89°, I = 280
2θ = 36.77°, I = 214
2θ = 53.33°, I = 194
2θ = 59.79°, I = 247

Atomic structure:
Lattice parameters (Å, degrees): 9.0298 9.0298 9.0298 137.36 59.50 140.53
Fractional positions:
Dy1 0.0934 0.6153 0.7087
Dy2 0.2500 0.2500 0.0000
Dy3 0.4066 0.1153 0.5219
Dy4 0.5934 0.8847 0.4781
Dy5 0.7500 0.7500 0.0000
Dy6 0.9066 0.3847 0.2913
Er1 0.1920 0.1463 0.3383
Er2 0.3080 0.6463 0.9543
Er3 0.6920 0.3537 0.0457
Er4 0.8080 0.8537 0.6617

***

3.
For Dy2Er7, a structure optimized by DFT (PBE) gives the simulated PXRD pattern in this record (Cu Kα X-rays).
Intensities are scaled so that the largest is 1000.

Most intense lines, 15° ≤ 2θ ≤ 90°, in order of rising 2θ:
2θ = 31.25°, I = 1000
2θ = 36.24°, I = 506
2θ = 52.18°, I = 359
2θ = 62.09°, I = 426
2θ = 65.18°, I = 123
2θ = 76.92°, I = 57
2θ = 85.34°, I = 179
2θ = 88.12°, I = 168

Atomic structure:
Lattice parameters (Å, degrees): 6.0710 6.0710 8.5907 90.00 90.00 120.00
Fractional positions:
Dy1 0.3333 0.6667 0.0000
Dy2 0.6667 0.3333 0.0000
Er1 0.0000 0.0000 0.0000
Er2 0.0000 0.3332 0.6660
Er3 0.0000 0.6668 0.3340
Er4 0.3332 0.0000 0.6660
Er5 0.3332 0.3332 0.3340
Er6 0.6668 0.0000 0.3340
Er7 0.6668 0.6668 0.6660

***

4.
For Dy2Er3, a structure optimized by DFT (PBE) gives the simulated PXRD pattern in this record (Cu Kα X-rays).
Intensities are scaled so that the largest is 1000.

Most intense lines, 15° ≤ 2θ ≤ 90°, in order of rising 2θ:
2θ = 28.73°, I = 239
2θ = 32.08°, I = 239
2θ = 32.99°, I = 1000
2θ = 43.59°, I = 155
2θ = 50.89°, I = 198
2θ = 57.76°, I = 204
2θ = 61.44°, I = 225
2θ = 84.24°, I = 142

Atomic structure:
Lattice parameters (Å, degrees): 6.6355 6.6355 9.0898 107.60 107.60 55.84
Fractional positions:
Dy1 0.0673 0.7333 0.5502
Dy2 0.2667 0.9327 0.9498
Dy3 0.7333 0.0673 0.0502
Dy4 0.9327 0.2667 0.4498
Er1 0.1333 0.4655 0.8498
Er2 0.3342 0.6658 0.2500
Er3 0.4655 0.1333 0.3498
Er4 0.5345 0.8667 0.6502
Er5 0.6658 0.3342 0.7500
Er6 0.8667 0.5345 0.1502